1.
Starting from a DFT-relaxed cell (GGA-PBE, Alexandria), the X-ray diffraction stick pattern of RbSnHg2Se4 was calculated for CuKα.

Main lines, in order of rising 2θ (2θ = 15–90°):
2theta  Rel. int.  (hkl)
19.48  14  0 0 2
23.51  18  2 2 0
25.68  100  2 0 2
28.13  10  3 1 1
33.50  40  4 0 0
42.68  56  2 4 2
46.53  27  2 2 4
48.10  11  4 4 0
54.21  10  2 6 0
66.25  14  6 4 2
69.16  13  6 2 4
76.29  13  8 2 2

Cell and atoms:
Cell: 10.694 10.708 9.113 Å, 90.00 90.00 90.00°
Space group Fmm2 (No. 42)
Symmetry-distinct sites (fractional):
Rb 0.000 0.000 0.000 x4
Sn 0.000 0.000 0.500 x4
Hg 0.250 0.250 0.246 x8
Se 0.000 0.197 0.336 x8
Se 0.197 0.000 0.664 x8

=====

2.
Starting from a DFT-relaxed cell (GGA-PBE, Alexandria), the X-ray diffraction stick pattern of GdAl3Ni2 was calculated for CuKα.

Main lines, in order of rising 2θ (2θ = 15–90°):
2theta  Rel. int.  (hkl)
19.60  35  1 1 0
24.56  59  1 0 1
29.44  24  1 1 1
31.62  22  2 0 1
34.29  30  3 0 0
37.47  100  2 1 1
39.80  72  2 2 0
40.97  41  3 0 1
44.34  31  0 0 2
61.08  39  2 2 2
63.50  19  5 0 1
88.84  16  6 0 2

Cell and atoms:
Cell: 9.0603 9.0603 4.0859 Å, 90.00 90.00 120.00°
Space group P6/mmm (No. 191)
Symmetry-distinct sites (fractional):
Gd 0.0000 0.0000 0.0000 x1
Gd 0.3333 0.6667 0.5000 x2
Al 0.0000 0.2969 0.5000 x6
Al 0.0000 0.5000 0.0000 x3
Ni 0.1820 0.3641 0.0000 x6